# 1
Starting from a GGA-PBE-relaxed structure, the powder X-ray diffraction pattern of RbIn4Hg8 was simulated for Cu Ka.
Neutral-atom scattering factors, no anomalous dispersion.

Top 12 peaks for 15 to 90 degrees two-theta, by angle:
h k l	two_theta	Rel. int.
0 0 2	28.1	21.2
3 0 1	28.4	25.2
2 0 2	32.7	30.8
4 0 0	33.0	100.0
2 2 2	36.8	49.8
4 2 0	37.0	66.9
3 2 3	52.9	18.2
4 1 3	55.8	13.6
5 4 1	56.2	11.4
6 0 2	58.8	15.6
6 3 1	59.0	18.0
7 1 2	67.9	11.3

```
data_RbIn4Hg8
_cell_length_a 10.838
_cell_length_b 10.838
_cell_length_c 6.347
_cell_angle_alpha 90.00
_cell_angle_beta 90.00
_cell_angle_gamma 90.00
_space_group_name_H-M_alt 'I 4/m m m'
_space_group_IT_number 139
_space_group_name_Hall '-I 4 2'
loop_
_atom_site_label
_atom_site_type_symbol
_atom_site_fract_x
_atom_site_fract_y
_atom_site_fract_z
Rb1 Rb 0.000 0.000 0.000
In1 In 0.250 0.250 0.250
Hg1 Hg 0.000 0.219 0.500
Hg2 Hg 0.000 0.355 0.000
```

# 2
Starting from a GGA-PBE-relaxed structure, the powder X-ray diffraction pattern of RbIn8Hg2 was simulated for Cu Ka.
Neutral-atom scattering factors, no anomalous dispersion.

Top 12 peaks for 15 to 90 degrees two-theta, by angle:
h k l	two_theta	Rel. int.
1 0 0	16.2	16.2
1 -1 3	30.7	70.4
2 0 0	32.7	100.0
2 0 -1	33.6	20.4
1 1 3	33.8	54.6
-1 1 4	36.7	43.6
1 1 -4	39.3	20.0
1 1 4	39.4	17.8
2 -2 0	42.2	24.7
2 2 0	51.3	13.8
1 -3 3	55.1	20.5
-3 1 4	59.1	16.1

```
data_RbIn8Hg2
_cell_length_a 5.571
_cell_length_b 5.571
_cell_length_c 11.946
_cell_angle_alpha 90.06
_cell_angle_beta 90.14
_cell_angle_gamma 100.51
_space_group_name_H-M_alt 'P -1'
_space_group_IT_number 2
loop_
_space_group_symop_operation_xyz
'x,y,z'
'-x,-y,-z'
loop_
_atom_site_label
_atom_site_type_symbol
_atom_site_fract_x
_atom_site_fract_y
_atom_site_fract_z
Rb1 Rb 0.000 0.000 0.000
In1 In 0.000 0.500 0.500
In2 In 0.003 0.499 0.773
In3 In 0.498 0.499 0.361
In4 In 0.500 0.000 0.500
In5 In 0.500 0.001 0.773
Hg1 Hg 0.000 0.001 0.353
```

# 3
Starting from a GGA-PBE-relaxed structure, the powder X-ray diffraction pattern of Rb2In2Hg15 was simulated for Cu Ka.
Neutral-atom scattering factors, no anomalous dispersion.

Top 12 peaks for 15 to 90 degrees two-theta, by angle:
h k l	two_theta	Rel. int.
1 1 0	16.8	48.0
1 2 2	27.7	17.2
0 2 4	28.1	30.8
0 0 6	30.5	33.9
2 0 5	32.1	66.1
0 3 3	33.1	100.0
2 2 0	33.9	45.9
1 1 6	35.0	26.9
2 2 3	37.3	95.8
0 4 8	58.2	18.9
4 2 5	59.5	17.9
6 0 0	60.7	19.9

```
data_Rb2In2Hg15
_cell_length_a 10.5717
_cell_length_b 10.5717
_cell_length_c 17.6058
_cell_angle_alpha 90.00
_cell_angle_beta 90.00
_cell_angle_gamma 120.00
_space_group_name_H-M_alt 'R -3 m'
_space_group_IT_number 166
_space_group_name_Hall '-R 3 2"'
loop_
_atom_site_label
_atom_site_type_symbol
_atom_site_fract_x
_atom_site_fract_y
_atom_site_fract_z
Rb1 Rb 0.0000 0.0000 0.1756
In1 In 0.0000 0.0000 0.4048
Hg1 Hg 0.0000 0.2938 0.5000
Hg2 Hg 0.0000 0.5000 0.0000
Hg3 Hg 0.0219 0.5110 0.6333
```

# 4
Starting from a GGA-PBE-relaxed structure, the powder X-ray diffraction pattern of Rb3InHg6 was simulated for Cu Ka.
Neutral-atom scattering factors, no anomalous dispersion.

Top 12 peaks for 15 to 90 degrees two-theta, by angle:
h k l	two_theta	Rel. int.
1 0 1	15.4	14.6
3 0 0	22.3	22.3
1 3 1	30.1	100.0
2 0 2	31.0	24.4
4 0 1	32.9	14.5
3 1 2	38.5	37.2
3 3 0	39.1	18.3
4 4 0	52.9	13.8
7 0 1	55.5	14.9
3 3 3	58.1	18.8
0 7 2	61.0	8.9
6 4 2	74.9	10.3

```
data_Rb3InHg6
_cell_length_a 13.8361
_cell_length_b 13.8361
_cell_length_c 6.5766
_cell_angle_alpha 90.00
_cell_angle_beta 90.00
_cell_angle_gamma 120.00
_space_group_name_H-M_alt 'R 3 m'
_space_group_IT_number 160
_space_group_name_Hall 'R 3 -2"'
loop_
_atom_site_label
_atom_site_type_symbol
_atom_site_fract_x
_atom_site_fract_y
_atom_site_fract_z
Rb1 Rb 0.9998 0.4999 0.0000
In1 In 0.0000 0.0000 0.5016
Hg1 Hg 0.0958 0.1916 0.8360
Hg2 Hg 0.1903 0.0951 0.1642
```

# 5
Starting from a GGA-PBE-relaxed structure, the powder X-ray diffraction pattern of Rb3InHg4 was simulated for Cu Ka.
Neutral-atom scattering factors, no anomalous dispersion.

Top 12 peaks for 15 to 90 degrees two-theta, by angle:
h k l	two_theta	Rel. int.
1 0 1	15.0	100.0
0 0 2	17.1	55.4
1 2 1	25.5	56.0
0 2 2	26.7	48.7
2 1 1	28.3	95.6
1 0 3	28.6	78.8
0 3 1	32.1	65.7
2 2 0	32.4	53.6
1 2 3	35.4	46.7
2 2 2	36.8	92.2
3 2 1	44.1	38.0
4 0 0	51.0	41.4

```
data_Rb3InHg4
_cell_length_a 7.165
_cell_length_b 8.692
_cell_length_c 10.390
_cell_angle_alpha 90.00
_cell_angle_beta 90.00
_cell_angle_gamma 90.00
_space_group_name_H-M_alt 'I m m 2'
_space_group_IT_number 44
loop_
_space_group_symop_operation_xyz
'x,y,z'
'-x,-y,z'
'-x,y,z'
'x,-y,z'
'x+1/2,y+1/2,z+1/2'
'-x+1/2,-y+1/2,z+1/2'
'-x+1/2,y+1/2,z+1/2'
'x+1/2,-y+1/2,z+1/2'
loop_
_atom_site_label
_atom_site_type_symbol
_atom_site_fract_x
_atom_site_fract_y
_atom_site_fract_z
Rb1 Rb 0.000 0.000 0.000
Rb2 Rb 0.000 0.239 0.629
In1 In 0.000 0.500 0.047
Hg1 Hg 0.000 0.303 0.280
Hg2 Hg 0.220 0.000 0.344
```

# 6
Starting from a GGA-PBE-relaxed structure, the powder X-ray diffraction pattern of Rb2In4Hg9 was simulated for Cu Ka.
Neutral-atom scattering factors, no anomalous dispersion.

Top 12 peaks for 15 to 90 degrees two-theta, by angle:
h k l	two_theta	Rel. int.
1 0 2	21.7	11.9
1 0 4	26.4	11.0
0 1 5	29.4	55.5
1 0 6	32.8	56.8
1 1 0	34.9	100.0
0 1 7	36.4	14.4
2 0 5	46.3	16.3
0 2 6	48.6	19.0
1 2 5	59.2	15.8
2 1 6	61.3	19.1
3 0 0	62.6	18.6
2 2 0	73.7	11.6

```
data_Rb2In4Hg9
_cell_length_a 5.1417
_cell_length_b 5.1417
_cell_length_c 20.7485
_cell_angle_alpha 90.00
_cell_angle_beta 90.00
_cell_angle_gamma 120.00
_space_group_name_H-M_alt 'P -3 m 1'
_space_group_IT_number 164
_space_group_name_Hall '-P 3 2"'
loop_
_atom_site_label
_atom_site_type_symbol
_atom_site_fract_x
_atom_site_fract_y
_atom_site_fract_z
Rb1 Rb 0.3333 0.6667 0.2613
In1 In 0.3333 0.6667 0.5939
In2 In 0.3333 0.6667 0.8952
Hg1 Hg 0.0000 0.0000 0.0000
Hg2 Hg 0.0000 0.0000 0.1635
Hg3 Hg 0.0000 0.0000 0.3651
Hg4 Hg 0.3333 0.6667 0.0595
Hg5 Hg 0.3333 0.6667 0.4499
```

# 7
Starting from a GGA-PBE-relaxed structure, the powder X-ray diffraction pattern of Rb3In5Hg2 was simulated for Cu Ka.
Neutral-atom scattering factors, no anomalous dispersion.

Top 12 peaks for 15 to 90 degrees two-theta, by angle:
h k l	two_theta	Rel. int.
1 2 1	18.3	64.0
2 1 1	19.1	21.1
3 2 1	26.6	54.8
2 4 0	27.5	71.1
1 4 1	27.8	17.2
2 0 2	28.0	76.1
0 4 2	34.4	100.0
4 4 0	36.5	40.2
4 0 2	36.8	51.1
5 2 1	38.3	57.4
0 0 4	50.0	21.3
5 2 3	52.7	23.1

```
data_Rb3In5Hg2
_cell_length_a 13.165
_cell_length_b 14.880
_cell_length_c 7.291
_cell_angle_alpha 90.00
_cell_angle_beta 90.00
_cell_angle_gamma 90.00
_space_group_name_H-M_alt 'I b a m'
_space_group_IT_number 72
_space_group_name_Hall '-I 2 2c'
loop_
_atom_site_label
_atom_site_type_symbol
_atom_site_fract_x
_atom_site_fract_y
_atom_site_fract_z
Rb1 Rb 0.000 0.000 0.250
Rb2 Rb 0.236 0.380 0.000
In1 In 0.000 0.253 0.250
In2 In 0.000 0.500 0.250
In3 In 0.127 0.374 0.500
Hg1 Hg 0.153 0.155 0.000
```

# 8
Starting from a GGA-PBE-relaxed structure, the powder X-ray diffraction pattern of Rb2InHg3 was simulated for Cu Ka.
Neutral-atom scattering factors, no anomalous dispersion.

Top 12 peaks for 15 to 90 degrees two-theta, by angle:
h k l	two_theta	Rel. int.
1 1 0	18.8	31.3
1 1 1	27.2	59.4
3 1 -1	27.7	62.6
3 1 -2	28.2	60.0
2 0 -3	32.2	41.6
0 2 0	32.4	73.4
4 0 -3	32.8	38.0
3 1 0	33.7	100.0
2 2 -3	46.3	32.7
4 2 -3	46.8	28.6
1 1 3	53.1	32.0
7 1 -3	54.8	27.0

```
data_Rb2InHg3
_cell_length_a 12.352
_cell_length_b 5.532
_cell_length_c 8.669
_cell_angle_alpha 90.00
_cell_angle_beta 132.67
_cell_angle_gamma 90.00
_space_group_name_H-M_alt 'C 1 m 1'
_space_group_IT_number 8
loop_
_space_group_symop_operation_xyz
'x,y,z'
'x,-y,z'
'x+1/2,y+1/2,z'
'x+1/2,-y+1/2,z'
loop_
_atom_site_label
_atom_site_type_symbol
_atom_site_fract_x
_atom_site_fract_y
_atom_site_fract_z
Rb1 Rb 0.000 0.000 0.000
Rb2 Rb 0.122 0.000 0.629
In1 In 0.389 0.000 0.223
Hg1 Hg 0.219 0.500 0.412
Hg2 Hg 0.239 0.500 0.066
Hg3 Hg 0.405 0.000 0.592
```

# 9
Starting from a GGA-PBE-relaxed structure, the powder X-ray diffraction pattern of Rb2In3Hg6 was simulated for Cu Ka.
Neutral-atom scattering factors, no anomalous dispersion.

Top 12 peaks for 15 to 90 degrees two-theta, by angle:
h k l	two_theta	Rel. int.
1 0 1	20.3	17.4
1 1 1	26.0	100.0
2 1 0	30.4	27.3
0 0 2	33.9	41.1
3 0 0	34.6	37.1
2 1 1	34.9	52.6
3 0 1	38.6	49.8
2 2 0	40.1	20.8
2 1 2	46.2	17.5
3 0 2	49.2	27.1
2 2 2	53.5	18.4
4 1 1	56.9	35.7

```
data_Rb2In3Hg6
_cell_length_a 8.9915
_cell_length_b 8.9915
_cell_length_c 5.2851
_cell_angle_alpha 90.00
_cell_angle_beta 90.00
_cell_angle_gamma 120.00
_space_group_name_H-M_alt 'P -6 2 m'
_space_group_IT_number 189
_space_group_name_Hall 'P -6 -2'
loop_
_atom_site_label
_atom_site_type_symbol
_atom_site_fract_x
_atom_site_fract_y
_atom_site_fract_z
Rb1 Rb 0.3333 0.6667 0.0000
In1 In 0.0000 0.3406 0.5000
Hg1 Hg 0.0000 0.1936 0.0000
Hg2 Hg 0.0000 0.6731 0.5000
```

# 10
Starting from a GGA-PBE-relaxed structure, the powder X-ray diffraction pattern of Rb2In3Hg5 was simulated for Cu Ka.
Neutral-atom scattering factors, no anomalous dispersion.

Top 12 peaks for 15 to 90 degrees two-theta, by angle:
h k l	two_theta	Rel. int.
2 0 0	15.1	43.4
1 2 1	18.5	39.1
2 4 0	28.2	62.2
3 2 1	28.4	37.2
2 0 2	28.6	84.9
1 3 2	31.0	25.9
0 4 2	34.0	100.0
4 4 0	39.0	26.8
4 0 2	39.2	45.0
1 7 0	42.8	16.9
0 0 4	49.3	23.9
2 4 4	57.8	19.0

```
data_Rb2In3Hg5
_cell_length_a 11.730
_cell_length_b 15.033
_cell_length_c 7.390
_cell_angle_alpha 90.00
_cell_angle_beta 90.00
_cell_angle_gamma 90.00
_space_group_name_H-M_alt 'I b a m'
_space_group_IT_number 72
_space_group_name_Hall '-I 2 2c'
loop_
_atom_site_label
_atom_site_type_symbol
_atom_site_fract_x
_atom_site_fract_y
_atom_site_fract_z
Rb1 Rb 0.235 0.134 0.000
In1 In 0.000 0.500 0.250
In2 In 0.095 0.138 0.500
Hg1 Hg 0.000 0.000 0.250
Hg2 Hg 0.000 0.282 0.250
Hg3 Hg 0.159 0.399 0.000
```

# 11
Starting from a GGA-PBE-relaxed structure, the powder X-ray diffraction pattern of RbInHg was simulated for Cu Ka.
Neutral-atom scattering factors, no anomalous dispersion.

Top 12 peaks for 15 to 90 degrees two-theta, by angle:
h k l	two_theta	Rel. int.
0 3 1	29.9	100.0
1 0 0	30.2	66.7
1 3 -1	30.5	94.3
1 0 -2	30.9	62.9
0 5 1	41.5	18.9
1 5 -1	42.0	18.3
0 0 2	42.7	31.6
2 0 -2	44.7	22.7
1 3 1	53.0	20.0
1 3 -3	53.8	19.0
2 3 -1	54.3	18.6
2 3 -3	55.1	33.3

```
data_RbInHg
_cell_length_a 4.055
_cell_length_b 12.687
_cell_length_c 5.799
_cell_angle_alpha 90.00
_cell_angle_beta 133.09
_cell_angle_gamma 90.00
_space_group_name_H-M_alt 'P 1 2/c 1'
_space_group_IT_number 13
loop_
_space_group_symop_operation_xyz
'x,y,z'
'-x,-y,-z'
'-x,y,-z+1/2'
'x,-y,z+1/2'
loop_
_atom_site_label
_atom_site_type_symbol
_atom_site_fract_x
_atom_site_fract_y
_atom_site_fract_z
Rb1 Rb 0.000 0.240 0.250
In1 In 0.000 0.453 0.750
Hg1 Hg 0.000 0.054 0.750
```

# 12
Starting from a GGA-PBE-relaxed structure, the powder X-ray diffraction pattern of RbInHg was simulated for Cu Ka.
Neutral-atom scattering factors, no anomalous dispersion.

Top 12 peaks for 15 to 90 degrees two-theta, by angle:
h k l	two_theta	Rel. int.
0 1 0	20.4	22.6
1 0 -1	21.8	20.1
1 1 2	25.3	18.2
1 0 -2	25.5	20.9
0 1 -2	25.6	21.6
1 1 3	30.5	48.4
1 0 -3	30.8	80.8
1 -1 0	35.8	100.0
1 2 1	36.5	31.9
1 1 4	36.7	24.4
0 2 3	47.6	15.0
3 0 0	64.2	14.5

```
data_RbInHg
_cell_length_a 5.019
_cell_length_b 5.020
_cell_length_c 11.783
_cell_angle_alpha 89.24
_cell_angle_beta 89.42
_cell_angle_gamma 60.06
_space_group_name_H-M_alt 'P -1'
_space_group_IT_number 2
loop_
_space_group_symop_operation_xyz
'x,y,z'
'-x,-y,-z'
loop_
_atom_site_label
_atom_site_type_symbol
_atom_site_fract_x
_atom_site_fract_y
_atom_site_fract_z
Rb1 Rb 0.170 0.175 0.181
In1 In 0.166 0.165 0.557
Hg1 Hg 0.498 0.496 0.647
```